Record 1
The following is a calculated powder X-ray diffraction pattern of CsMg14W. It was derived from the GGA-PBE geometry in the Materials Project, using λ = 1.5418 Å (Cu Kα).
Intensities are scaled so that the largest is 100.

Structural model:
```
data_CsMg14W
_chemical_formula_sum 'Cs1 Mg14 W1'
_cell_length_a 6.459
_cell_length_b 6.459
_cell_length_c 10.663
_cell_angle_alpha 90.00
_cell_angle_beta 90.00
_cell_angle_gamma 120.00
_symmetry_space_group_name_H-M 'P 1'
_symmetry_Int_Tables_number 1
loop_
_symmetry_equiv_pos_as_xyz
'x,y,z'
loop_
_atom_site_label
_atom_site_fract_x
_atom_site_fract_y
_atom_site_fract_z
Cs1 0.000 0.000 0.000
Mg1 0.010 0.505 0.000
Mg2 0.166 0.331 0.282
Mg3 0.166 0.331 0.718
Mg4 0.166 0.834 0.282
Mg5 0.166 0.834 0.718
Mg6 0.495 0.505 0.000
Mg7 0.495 0.990 0.000
Mg8 0.505 0.011 0.500
Mg9 0.505 0.495 0.500
Mg10 0.667 0.333 0.242
Mg11 0.667 0.333 0.758
Mg12 0.669 0.834 0.282
Mg13 0.669 0.834 0.718
Mg14 0.989 0.495 0.500
W1 0.000 0.000 0.500
```

Most intense lines, 10° ≤ 2θ ≤ 90°, in order of rising 2θ:
2θ (°), d [Å], I (rel.)
15.8, 5.593, 74
16.6, 5.332, 24
23.0, 3.859, 63
32.0, 2.797, 33
32.4, 2.762, 26
33.6, 2.666, 23
36.3, 2.477, 100
47.1, 1.930, 23

=====

Record 2
The following is a calculated powder X-ray diffraction pattern of ScSn. It was derived from the GGA-PBE geometry in the Materials Project, using λ = 1.5418 Å (Cu Kα).
Intensities are scaled so that the largest is 100.

Structural model:
```
data_ScSn
_chemical_formula_sum 'Sc1 Sn1'
_cell_length_a 3.615
_cell_length_b 3.615
_cell_length_c 3.615
_cell_angle_alpha 90.00
_cell_angle_beta 90.00
_cell_angle_gamma 90.00
_symmetry_space_group_name_H-M 'P 1'
_symmetry_Int_Tables_number 1
loop_
_symmetry_equiv_pos_as_xyz
'x,y,z'
loop_
_atom_site_label
_atom_site_fract_x
_atom_site_fract_y
_atom_site_fract_z
Sc1 0.000 0.000 0.000
Sn1 0.500 0.500 0.500
```

Most intense lines, 10° ≤ 2θ ≤ 90°, in order of rising 2θ:
2θ (°), d [Å], I (rel.)
24.6, 3.615, 25
35.1, 2.556, 100
43.3, 2.087, 8
50.5, 1.808, 18
57.0, 1.617, 12
63.0, 1.476, 36
74.2, 1.278, 11
84.8, 1.143, 16

=====

Record 3
The following is a calculated powder X-ray diffraction pattern of Ta2SnO7. It was derived from the GGA-PBE geometry in the Materials Project, using λ = 1.5418 Å (Cu Kα).
Intensities are scaled so that the largest is 100.

Structural model:
```
data_Ta2SnO7
_chemical_formula_sum 'Ta4 Sn2 O14'
_cell_length_a 8.725
_cell_length_b 8.725
_cell_length_c 5.214
_cell_angle_alpha 96.26
_cell_angle_beta 96.26
_cell_angle_gamma 33.00
_symmetry_space_group_name_H-M 'P 1'
_symmetry_Int_Tables_number 1
loop_
_symmetry_equiv_pos_as_xyz
'x,y,z'
loop_
_atom_site_label
_atom_site_fract_x
_atom_site_fract_y
_atom_site_fract_z
Ta1 0.065 0.609 0.697
Ta2 0.391 0.935 0.803
Ta3 0.609 0.065 0.197
Ta4 0.935 0.391 0.303
Sn1 0.227 0.773 0.250
Sn2 0.773 0.227 0.750
O1 0.069 0.093 0.525
O2 0.093 0.069 0.025
O3 0.134 0.314 0.663
O4 0.313 0.402 0.990
O5 0.314 0.134 0.163
O6 0.381 0.619 0.750
O7 0.402 0.313 0.490
O8 0.598 0.687 0.510
O9 0.619 0.381 0.250
O10 0.686 0.866 0.837
O11 0.687 0.598 0.010
O12 0.866 0.686 0.337
O13 0.907 0.931 0.975
O14 0.931 0.907 0.475
```

Most intense lines, 10° ≤ 2θ ≤ 90°, in order of rising 2θ:
2θ (°), d [Å], I (rel.)
25.0, 3.559, 20
28.6, 3.122, 100
30.8, 2.905, 81
32.3, 2.770, 40
34.6, 2.590, 22
36.2, 2.478, 21
49.3, 1.847, 27
51.0, 1.791, 32

=====

Record 4
The following is a calculated powder X-ray diffraction pattern of SrTiO3. It was derived from the GGA-PBE geometry in the Materials Project, using λ = 1.5418 Å (Cu Kα).
Intensities are scaled so that the largest is 100.

Structural model:
```
data_SrTiO3
_chemical_formula_sum 'Sr2 Ti2 O6'
_cell_length_a 5.579
_cell_length_b 5.579
_cell_length_c 5.579
_cell_angle_alpha 120.03
_cell_angle_beta 120.03
_cell_angle_gamma 89.95
_symmetry_space_group_name_H-M 'P 1'
_symmetry_Int_Tables_number 1
loop_
_symmetry_equiv_pos_as_xyz
'x,y,z'
loop_
_atom_site_label
_atom_site_fract_x
_atom_site_fract_y
_atom_site_fract_z
Sr1 0.250 0.750 0.500
Sr2 0.750 0.250 0.500
Ti1 0.000 0.000 0.000
Ti2 0.500 0.500 0.000
O1 0.241 0.741 0.982
O2 0.250 0.250 0.000
O3 0.259 0.241 0.500
O4 0.741 0.759 0.500
O5 0.750 0.750 0.000
O6 0.759 0.259 0.018
```

Most intense lines, 10° ≤ 2θ ≤ 90°, in order of rising 2θ:
2θ (°), d [Å], I (rel.)
32.1, 2.789, 100
39.6, 2.277, 21
46.0, 1.972, 41
57.2, 1.610, 38
67.1, 1.394, 23
76.4, 1.247, 16
80.8, 1.189, 6
85.2, 1.139, 8

=====

Record 5
The following is a calculated powder X-ray diffraction pattern of CeAl4Si2Ir. It was derived from the GGA-PBE geometry in the Materials Project, using λ = 1.5418 Å (Cu Kα).
Intensities are scaled so that the largest is 100.

Structural model:
```
data_CeAl4Si2Ir
_chemical_formula_sum 'Ce1 Al4 Si2 Ir1'
_cell_length_a 4.264
_cell_length_b 4.264
_cell_length_c 7.915
_cell_angle_alpha 90.00
_cell_angle_beta 90.00
_cell_angle_gamma 90.00
_symmetry_space_group_name_H-M 'P 1'
_symmetry_Int_Tables_number 1
loop_
_symmetry_equiv_pos_as_xyz
'x,y,z'
loop_
_atom_site_label
_atom_site_fract_x
_atom_site_fract_y
_atom_site_fract_z
Ce1 0.000 0.000 0.000
Al1 0.000 0.500 0.329
Al2 0.000 0.500 0.671
Al3 0.500 0.000 0.329
Al4 0.500 0.000 0.671
Si1 0.500 0.500 0.144
Si2 0.500 0.500 0.856
Ir1 0.000 0.000 0.500
```

Most intense lines, 10° ≤ 2θ ≤ 90°, in order of rising 2θ:
2θ (°), d [Å], I (rel.)
20.8, 4.264, 80
22.5, 3.958, 30
29.6, 3.015, 36
30.8, 2.901, 100
37.5, 2.398, 71
42.4, 2.132, 44
50.9, 1.795, 30
53.3, 1.718, 43

=====

Record 6
The following is a calculated powder X-ray diffraction pattern of MgH6Br2N2. It was derived from the GGA-PBE geometry in the Materials Project, using λ = 1.5418 Å (Cu Kα).
Intensities are scaled so that the largest is 100.

Structural model:
```
data_MgH6Br2N2
_chemical_formula_sum 'Mg4 H24 Br8 N8'
_cell_length_a 6.012
_cell_length_b 8.047
_cell_length_c 12.006
_cell_angle_alpha 90.00
_cell_angle_beta 90.00
_cell_angle_gamma 90.00
_symmetry_space_group_name_H-M 'P 1'
_symmetry_Int_Tables_number 1
loop_
_symmetry_equiv_pos_as_xyz
'x,y,z'
loop_
_atom_site_label
_atom_site_fract_x
_atom_site_fract_y
_atom_site_fract_z
Mg1 0.001 0.250 0.000
Mg2 0.499 0.750 0.500
Mg3 0.501 0.250 0.500
Mg4 0.999 0.750 0.000
H1 0.086 0.750 0.398
H2 0.136 0.149 0.385
H3 0.136 0.351 0.385
H4 0.208 0.750 0.796
H5 0.239 0.149 0.818
H6 0.239 0.351 0.818
H7 0.261 0.649 0.318
H8 0.261 0.851 0.318
H9 0.292 0.250 0.296
H10 0.364 0.649 0.885
H11 0.364 0.851 0.885
H12 0.414 0.250 0.898
H13 0.586 0.750 0.102
H14 0.636 0.149 0.115
H15 0.636 0.351 0.115
H16 0.708 0.750 0.704
H17 0.739 0.149 0.682
H18 0.739 0.351 0.682
H19 0.761 0.649 0.182
H20 0.761 0.851 0.182
H21 0.792 0.250 0.204
H22 0.864 0.649 0.615
H23 0.864 0.851 0.615
H24 0.914 0.250 0.602
Br1 0.222 0.001 0.113
Br2 0.222 0.499 0.113
Br3 0.278 0.501 0.613
Br4 0.278 0.999 0.613
Br5 0.722 0.001 0.387
Br6 0.722 0.499 0.387
Br7 0.778 0.501 0.887
Br8 0.778 0.999 0.887
N1 0.239 0.250 0.377
N2 0.248 0.750 0.371
N3 0.252 0.250 0.871
N4 0.261 0.750 0.877
N5 0.739 0.250 0.123
N6 0.748 0.750 0.129
N7 0.752 0.250 0.629
N8 0.761 0.750 0.623
```

Most intense lines, 10° ≤ 2θ ≤ 90°, in order of rising 2θ:
2θ (°), d [Å], I (rel.)
20.9, 4.248, 52
22.1, 4.023, 16
29.7, 3.004, 38
30.6, 2.921, 100
37.4, 2.407, 38
42.6, 2.124, 21
50.2, 1.818, 12
53.3, 1.718, 29

=====

Record 7
The following is a calculated powder X-ray diffraction pattern of Ca6Sn2NO. It was derived from the GGA-PBE geometry in the Materials Project, using λ = 1.5418 Å (Cu Kα).
Intensities are scaled so that the largest is 100.

Structural model:
```
data_Ca6Sn2NO
_chemical_formula_sum 'Ca6 Sn2 N1 O1'
_cell_length_a 6.900
_cell_length_b 6.900
_cell_length_c 6.900
_cell_angle_alpha 60.00
_cell_angle_beta 60.00
_cell_angle_gamma 60.00
_symmetry_space_group_name_H-M 'P 1'
_symmetry_Int_Tables_number 1
loop_
_symmetry_equiv_pos_as_xyz
'x,y,z'
loop_
_atom_site_label
_atom_site_fract_x
_atom_site_fract_y
_atom_site_fract_z
Ca1 0.248 0.248 0.752
Ca2 0.248 0.752 0.248
Ca3 0.248 0.752 0.752
Ca4 0.752 0.248 0.248
Ca5 0.752 0.248 0.752
Ca6 0.752 0.752 0.248
Sn1 0.250 0.250 0.250
Sn2 0.750 0.750 0.750
N1 0.000 0.000 0.000
O1 0.500 0.500 0.500
```

Most intense lines, 10° ≤ 2θ ≤ 90°, in order of rising 2θ:
2θ (°), d [Å], I (rel.)
18.2, 4.879, 18
25.8, 3.450, 41
31.8, 2.817, 100
36.8, 2.440, 64
45.5, 1.992, 19
53.1, 1.725, 42
63.2, 1.471, 40
89.9, 1.091, 19

=====

Record 8
The following is a calculated powder X-ray diffraction pattern of CdSnTe2. It was derived from the GGA-PBE geometry in the Materials Project, using λ = 1.5418 Å (Cu Kα).
Intensities are scaled so that the largest is 100.

Structural model:
```
data_CdSnTe2
_chemical_formula_sum 'Cd1 Sn1 Te2'
_cell_length_a 7.564
_cell_length_b 7.564
_cell_length_c 7.564
_cell_angle_alpha 34.48
_cell_angle_beta 34.48
_cell_angle_gamma 34.48
_symmetry_space_group_name_H-M 'P 1'
_symmetry_Int_Tables_number 1
loop_
_symmetry_equiv_pos_as_xyz
'x,y,z'
loop_
_atom_site_label
_atom_site_fract_x
_atom_site_fract_y
_atom_site_fract_z
Cd1 0.000 0.000 0.000
Sn1 0.500 0.500 0.500
Te1 0.254 0.254 0.254
Te2 0.746 0.746 0.746
```

Most intense lines, 10° ≤ 2θ ≤ 90°, in order of rising 2θ:
2θ (°), d [Å], I (rel.)
28.4, 3.139, 100
40.2, 2.242, 40
41.1, 2.198, 36
50.0, 1.824, 21
58.8, 1.569, 13
66.0, 1.415, 18
67.2, 1.393, 16
73.7, 1.286, 13